No. 1
The following is a computed X-ray powder pattern of GeIr7. It was derived from a cell relaxed with PBE, using Cu Kα X-rays.
Kinematic intensities with the Lorentz-polarization factor, no thermal factor.

Principal peaks in the range 2θ from 10° to 80°, sorted by position:
| 2θ/deg | I/Imax | index |
| --- | --- | --- |
| 37.58 | 6 | 1 0 9 |
| 38.69 | 3 | 1 0 10 |
| 39.88 | 100 | 1 0 11 |
| 41.15 | 51 | 1 0 12 |
| 45.84 | 11 | 0 0 22 |
| 46.67 | 51 | 1 1 0 |
| 48.05 | 14 | 0 0 23 |
| 67.47 | 14 | 1 1 22 |
| 68.12 | 17 | 2 0 0 |
| 69.21 | 19 | 1 1 23 |

Lattice parameters (Å, degrees): 2.753 2.753 43.552 90.00 90.00 90.00
Space group P4/nmm (No. 129, origin choice 2)
Inequivalent atoms, fractional coordinates:
Ge1 0.250 0.250 0.169
Ir1 0.250 0.250 0.257
Ir2 0.250 0.250 0.345
Ir3 0.250 0.250 0.434
Ir4 0.250 0.250 0.522
Ir5 0.250 0.250 0.610
Ir6 0.250 0.250 0.699
Ir7 0.250 0.250 0.788

No. 2
The following is a computed X-ray powder pattern of GeIr15. It was derived from a cell relaxed with PBE, using Cu Kα X-rays.
Kinematic intensities with the Lorentz-polarization factor, no thermal factor.

Principal peaks in the range 2θ from 10° to 80°, sorted by position:
| 2θ/deg | I/Imax | index |
| --- | --- | --- |
| 38.20 | 26 | 0 1 12 |
| 40.32 | 87 | 0 1 13 |
| 40.54 | 86 | 2 1 0 |
| 40.63 | 45 | 2 1 1 |
| 42.51 | 20 | 0 1 14 |
| 45.20 | 16 | 2 0 12 |
| 47.04 | 100 | 0 2 0 |
| 49.00 | 13 | 2 0 14 |
| 68.69 | 37 | 2 2 13 |
| 69.08 | 14 | 4 0 0 |

Lattice parameters (Å, degrees): 5.440 3.868 35.648 90.00 90.00 90.00
Space group P2_1/m (No. 11)
Inequivalent atoms, fractional coordinates:
Ge1 0.125 0.250 0.287
Ir1 0.125 0.250 0.058
Ir2 0.125 0.250 0.134
Ir3 0.125 0.250 0.212
Ir4 0.125 0.250 0.827
Ir5 0.125 0.250 0.981
Ir6 0.126 0.250 0.904
Ir7 0.129 0.250 0.749
Ir8 0.375 0.750 0.019
Ir9 0.375 0.750 0.173
Ir10 0.375 0.750 0.713
Ir11 0.375 0.750 0.789
Ir12 0.375 0.750 0.865
Ir13 0.375 0.750 0.942
Ir14 0.376 0.750 0.096
Ir15 0.379 0.750 0.251

No. 3
The following is a computed X-ray powder pattern of GeIr15. It was derived from a cell relaxed with PBE, using Cu Kα X-rays.
Kinematic intensities with the Lorentz-polarization factor, no thermal factor.

Principal peaks in the range 2θ from 10° to 80°, sorted by position:
| 2θ/deg | I/Imax | index |
| --- | --- | --- |
| 39.78 | 100 | 0 1 11 |
| 39.98 | 99 | 2 0 11 |
| 41.02 | 67 | 0 1 12 |
| 41.21 | 67 | 2 0 12 |
| 46.99 | 81 | 2 1 0 |
| 47.04 | 26 | 2 1 1 |
| 47.31 | 37 | 0 0 23 |
| 67.20 | 19 | 2 1 22 |
| 68.38 | 18 | 0 2 0 |
| 68.90 | 67 | 4 0 0 |

Lattice parameters (Å, degrees): 5.451 2.744 44.188 90.00 90.00 90.00
Space group P2_1/m (No. 11)
Inequivalent atoms, fractional coordinates:
Ge1 0.125 0.250 0.171
Ir1 0.125 0.250 0.258
Ir2 0.125 0.250 0.346
Ir3 0.125 0.250 0.434
Ir4 0.125 0.250 0.522
Ir5 0.125 0.250 0.610
Ir6 0.125 0.250 0.697
Ir7 0.125 0.250 0.785
Ir8 0.375 0.750 0.215
Ir9 0.375 0.750 0.303
Ir10 0.375 0.750 0.390
Ir11 0.375 0.750 0.478
Ir12 0.375 0.750 0.566
Ir13 0.375 0.750 0.653
Ir14 0.375 0.750 0.741
Ir15 0.375 0.750 0.828

No. 4
The following is a computed X-ray powder pattern of LaNd2Ni2Ge4Ir2. It was derived from a cell relaxed with PBE, using Cu Kα X-rays.
Kinematic intensities with the Lorentz-polarization factor, no thermal factor.

Principal peaks in the range 2θ from 10° to 80°, sorted by position:
| 2θ/deg | I/Imax | index |
| --- | --- | --- |
| 28.29 | 12 | 1 0 5 |
| 30.05 | 12 | 1 1 0 |
| 33.55 | 100 | 1 1 4 |
| 39.30 | 24 | 0 1 9 |
| 42.20 | 22 | 0 2 0 |
| 43.83 | 20 | 2 0 0 |
| 46.03 | 14 | 0 1 11 |
| 55.00 | 15 | 1 2 7 |
| 60.31 | 13 | 2 1 9 |
| 62.47 | 14 | 2 2 0 |

Lattice parameters (Å, degrees): 4.131 4.283 24.430 90.00 90.00 90.00
Space group Immm (No. 71)
Inequivalent atoms, fractional coordinates:
La1 0.000 0.000 0.000
Nd1 0.000 0.500 0.151
Ni1 0.000 0.000 0.249
Ge1 0.000 0.000 0.448
Ge2 0.000 0.500 0.299
Ir1 0.000 0.500 0.401

Which formula does entry 1 have? GeIr7